Computed X-ray powder pattern
Compound: Mg3Ta2Al18
Radiation: a wavelength of 1.5418 Å
Structure: DFT lattice parameters and positions (GGA-PBE)

Main lines, sorted by position (10° ≤ 2θ ≤ 90°):
two_theta	d/Å	I (rel.)
10.3	8.580	1000
19.8	4.481	561
20.7	4.290	549
24.0	3.715	328
34.1	2.627	392
39.8	2.266	434
40.3	2.240	927
42.1	2.145	284
43.5	2.081	406
65.2	1.430	274

Crystal structure
Cell lengths 10.508, 10.508, 10.508 Å; angles 60.00, 60.00, 60.00 degrees
Fractional positions:
Mg 0.000 0.000 0.000
Mg 0.000 0.000 0.500
Mg 0.000 0.500 0.000
Mg 0.125 0.125 0.125
Mg 0.500 0.000 0.000
Mg 0.875 0.875 0.875
Ta 0.000 0.500 0.500
Ta 0.500 0.000 0.500
Ta 0.500 0.500 0.000
Ta 0.500 0.500 0.500
Al 0.059 0.324 0.324
Al 0.059 0.324 0.793
Al 0.059 0.793 0.324
Al 0.207 0.676 0.676
Al 0.207 0.676 0.941
Al 0.207 0.941 0.676
Al 0.236 0.236 0.514
Al 0.236 0.514 0.236
Al 0.236 0.514 0.514
Al 0.324 0.059 0.324
Al 0.324 0.059 0.793
Al 0.324 0.324 0.059
Al 0.324 0.324 0.793
Al 0.324 0.793 0.059
Al 0.324 0.793 0.324
Al 0.486 0.486 0.764
Al 0.486 0.764 0.486
Al 0.486 0.764 0.764
Al 0.514 0.236 0.236
Al 0.514 0.236 0.514
Al 0.514 0.514 0.236
Al 0.676 0.207 0.676
Al 0.676 0.207 0.941
Al 0.676 0.676 0.207
Al 0.676 0.676 0.941
Al 0.676 0.941 0.207
Al 0.676 0.941 0.676
Al 0.764 0.486 0.486
Al 0.764 0.486 0.764
Al 0.764 0.764 0.486
Al 0.793 0.059 0.324
Al 0.793 0.324 0.059
Al 0.793 0.324 0.324
Al 0.941 0.207 0.676
Al 0.941 0.676 0.207
Al 0.941 0.676 0.676

Computed X-ray powder pattern
Compound: TbMg16Al12
Radiation: a wavelength of 1.5418 Å
Structure: DFT lattice parameters and positions (GGA-PBE)

Main lines, sorted by position (10° ≤ 2θ ≤ 90°):
two_theta	d/Å	I (rel.)
11.6	7.598	722
12.1	7.337	438
16.8	5.278	283
20.5	4.335	312
35.4	2.533	568
35.6	2.523	302
36.0	2.493	969
36.7	2.446	1000
39.5	2.283	502
64.5	1.445	303

Crystal structure
Cell lengths 9.255, 9.255, 9.255 Å; angles 110.36, 110.36, 110.36 degrees
Fractional positions:
Tb 0.000 0.000 0.000
Mg 0.022 0.317 0.629
Mg 0.022 0.629 0.317
Mg 0.239 0.239 0.908
Mg 0.239 0.908 0.239
Mg 0.282 0.623 0.623
Mg 0.317 0.022 0.629
Mg 0.317 0.629 0.022
Mg 0.344 0.942 0.942
Mg 0.623 0.282 0.623
Mg 0.623 0.623 0.282
Mg 0.625 0.625 0.625
Mg 0.629 0.022 0.317
Mg 0.629 0.317 0.022
Mg 0.908 0.239 0.239
Mg 0.942 0.344 0.942
Mg 0.942 0.942 0.344
Al 0.257 0.257 0.438
Al 0.257 0.438 0.257
Al 0.438 0.257 0.257
Al 0.438 0.438 0.802
Al 0.438 0.802 0.438
Al 0.629 0.813 0.992
Al 0.629 0.992 0.813
Al 0.802 0.438 0.438
Al 0.813 0.629 0.992
Al 0.813 0.992 0.629
Al 0.992 0.629 0.813
Al 0.992 0.813 0.629

Computed X-ray powder pattern
Compound: TbMg16Al12
Radiation: a wavelength of 1.5418 Å
Structure: DFT lattice parameters and positions (GGA-PBE)

Main lines, sorted by position (10° ≤ 2θ ≤ 90°):
two_theta	d/Å	I (rel.)
11.9	7.462	428
20.6	4.308	200
26.7	3.337	124
31.7	2.821	226
36.1	2.487	1000
40.1	2.250	204
41.9	2.154	165
47.2	1.927	100
62.2	1.492	144
64.9	1.436	283

Crystal structure
Cell lengths 9.140, 9.140, 9.140 Å; angles 109.47, 109.47, 109.47 degrees
Fractional positions:
Tb 0.000 0.000 0.000
Mg 0.000 0.000 0.642
Mg 0.000 0.397 0.681
Mg 0.000 0.642 0.000
Mg 0.000 0.681 0.397
Mg 0.284 0.603 0.603
Mg 0.319 0.319 0.716
Mg 0.319 0.716 0.319
Mg 0.358 0.358 0.358
Mg 0.397 0.000 0.681
Mg 0.397 0.681 0.000
Mg 0.603 0.284 0.603
Mg 0.603 0.603 0.284
Mg 0.642 0.000 0.000
Mg 0.681 0.000 0.397
Mg 0.681 0.397 0.000
Mg 0.716 0.319 0.319
Al 0.000 0.186 0.369
Al 0.000 0.369 0.186
Al 0.182 0.814 0.814
Al 0.186 0.000 0.369
Al 0.186 0.369 0.000
Al 0.369 0.000 0.186
Al 0.369 0.186 0.000
Al 0.631 0.631 0.818
Al 0.631 0.818 0.631
Al 0.814 0.182 0.814
Al 0.814 0.814 0.182
Al 0.818 0.631 0.631